Record 1
Starting from the PBE geometry in Alexandria, the powder diffraction line list of NdTmPtI was calculated for CuKα.
No peak broadening, texture or thermal motion is included.

```
data_NdTmPtI
_cell_length_a 4.1809
_cell_length_b 4.1809
_cell_length_c 24.0120
_cell_angle_alpha 90.00
_cell_angle_beta 90.00
_cell_angle_gamma 120.00
_space_group_name_H-M_alt 'R 3 m'
_space_group_IT_number 160
_space_group_name_Hall 'R 3 -2"'
loop_
_atom_site_label
_atom_site_type_symbol
_atom_site_fract_x
_atom_site_fract_y
_atom_site_fract_z
Nd1 Nd 0.0000 0.0000 0.0000
Tm1 Tm 0.0000 0.0000 0.2103
Pt1 Pt 0.0000 0.0000 0.6002
I1 I 0.0000 0.0000 0.7745
```

Main lines, sorted by position (10° ≤ 2θ ≤ 80°):
11.05 deg, rel. 39, hkl 0 0 3
25.70 deg, rel. 25, hkl 0 1 2
30.93 deg, rel. 100, hkl 0 1 5
36.07 deg, rel. 15, hkl 1 0 7
43.28 deg, rel. 47, hkl 1 1 0
45.32 deg, rel. 25, hkl 1 0 10
54.14 deg, rel. 21, hkl 2 0 5
55.88 deg, rel. 16, hkl 1 0 13
64.46 deg, rel. 14, hkl 0 2 10
71.71 deg, rel. 20, hkl 1 2 5

=====

Record 2
Starting from the PBE geometry in Alexandria, the powder diffraction line list of UAg5S6 was calculated for CuKα.
No peak broadening, texture or thermal motion is included.

```
data_UAg5S6
_cell_length_a 6.908
_cell_length_b 11.267
_cell_length_c 6.630
_cell_angle_alpha 90.00
_cell_angle_beta 111.22
_cell_angle_gamma 90.00
_space_group_name_H-M_alt 'C 1 2/m 1'
_space_group_IT_number 12
loop_
_space_group_symop_operation_xyz
'x,y,z'
'-x,-y,-z'
'-x,y,-z'
'x,-y,z'
'x+1/2,y+1/2,z'
'-x+1/2,-y+1/2,-z'
'-x+1/2,y+1/2,-z'
'x+1/2,-y+1/2,z'
loop_
_atom_site_label
_atom_site_type_symbol
_atom_site_fract_x
_atom_site_fract_y
_atom_site_fract_z
U1 U 0.000 0.000 0.000
Ag1 Ag 0.000 0.139 0.500
Ag2 Ag 0.000 0.317 0.000
Ag3 Ag 0.000 0.500 0.500
S1 S 0.226 0.160 0.267
S2 S 0.228 0.500 0.194
```

Main lines, sorted by position (10° ≤ 2θ ≤ 80°):
15.85 deg, rel. 18, hkl 1 1 0
27.71 deg, rel. 32, hkl 2 0 0
28.65 deg, rel. 52, hkl 1 3 -1
28.89 deg, rel. 30, hkl 0 0 2
32.07 deg, rel. 62, hkl 2 0 -2
33.45 deg, rel. 100, hkl 1 3 1
46.25 deg, rel. 38, hkl 3 3 -1
47.59 deg, rel. 19, hkl 2 0 2
47.79 deg, rel. 33, hkl 1 3 -3
57.20 deg, rel. 21, hkl 4 0 0

=====

Record 3
Starting from the PBE geometry in Alexandria, the powder diffraction line list of Ca2Pb4O9 was calculated for CuKα.
No peak broadening, texture or thermal motion is included.

```
data_Ca2Pb4O9
_cell_length_a 5.8735
_cell_length_b 5.8735
_cell_length_c 15.7610
_cell_angle_alpha 90.00
_cell_angle_beta 90.00
_cell_angle_gamma 120.00
_space_group_name_H-M_alt 'P -3'
_space_group_IT_number 147
loop_
_space_group_symop_operation_xyz
'x,y,z'
'-x,-y,-z'
'-y,x-y,z'
'y,-x+y,-z'
'-x+y,-x,z'
'x-y,x,-z'
loop_
_atom_site_label
_atom_site_type_symbol
_atom_site_fract_x
_atom_site_fract_y
_atom_site_fract_z
Ca1 Ca 0.0000 0.0000 0.1414
Ca2 Ca 0.0000 0.0000 0.3577
Pb1 Pb 0.3333 0.6667 0.0157
Pb2 Pb 0.3333 0.6667 0.3047
Pb3 Pb 0.3333 0.6667 0.5199
Pb4 Pb 0.3333 0.6667 0.8000
O1 O 0.0237 0.3771 0.9224
O2 O 0.0350 0.6434 0.4215
O3 O 0.0372 0.3038 0.2560
```

Main lines, sorted by position (10° ≤ 2θ ≤ 80°):
17.43 deg, rel. 51, hkl 1 0 0
20.78 deg, rel. 18, hkl 0 1 2
28.66 deg, rel. 100, hkl 1 0 4
30.44 deg, rel. 92, hkl 1 1 0
38.22 deg, rel. 22, hkl 2 -1 4
42.30 deg, rel. 40, hkl 0 2 4
46.38 deg, rel. 29, hkl 1 1 6
53.00 deg, rel. 41, hkl 2 1 4
54.09 deg, rel. 27, hkl 3 0 0
68.15 deg, rel. 16, hkl 1 2 8

=====

Record 4
Starting from the PBE geometry in Alexandria, the powder diffraction line list of Sm12MgRu6 was calculated for CuKα.
No peak broadening, texture or thermal motion is included.

```
data_Sm12MgRu6
_cell_length_a 10.076
_cell_length_b 10.076
_cell_length_c 10.076
_cell_angle_alpha 90.00
_cell_angle_beta 90.00
_cell_angle_gamma 90.00
_space_group_name_H-M_alt 'I m -3'
_space_group_IT_number 204
_space_group_name_Hall '-I 2 2 3'
loop_
_atom_site_label
_atom_site_type_symbol
_atom_site_fract_x
_atom_site_fract_y
_atom_site_fract_z
Sm1 Sm 0.000 0.198 0.299
Mg1 Mg 0.000 0.000 0.000
Ru1 Ru 0.000 0.378 0.500
```

Main lines, sorted by position (10° ≤ 2θ ≤ 80°):
12.42 deg, rel. 19, hkl 1 1 0
28.00 deg, rel. 16, hkl 3 0 1
30.74 deg, rel. 42, hkl 2 2 2
33.27 deg, rel. 100, hkl 3 2 1
35.64 deg, rel. 20, hkl 4 0 0
45.93 deg, rel. 26, hkl 5 1 0
52.99 deg, rel. 26, hkl 5 0 3
54.65 deg, rel. 14, hkl 6 0 0
56.28 deg, rel. 30, hkl 5 3 2
65.51 deg, rel. 19, hkl 5 4 3

=====

Record 5
Starting from the PBE geometry in Alexandria, the powder diffraction line list of DyTiSi2Tc was calculated for CuKα.
No peak broadening, texture or thermal motion is included.

```
data_DyTiSi2Tc
_cell_length_a 3.937
_cell_length_b 3.937
_cell_length_c 11.177
_cell_angle_alpha 90.00
_cell_angle_beta 90.00
_cell_angle_gamma 90.00
_space_group_name_H-M_alt 'I -4 m 2'
_space_group_IT_number 119
_space_group_name_Hall 'I -4 -2'
loop_
_atom_site_label
_atom_site_type_symbol
_atom_site_fract_x
_atom_site_fract_y
_atom_site_fract_z
Dy1 Dy 0.000 0.000 0.000
Ti1 Ti 0.000 0.500 0.750
Si1 Si 0.000 0.000 0.393
Tc1 Tc 0.000 0.500 0.250
```

Main lines, sorted by position (10° ≤ 2θ ≤ 80°):
23.97 deg, rel. 43, hkl 1 0 1
32.03 deg, rel. 22, hkl 0 0 4
33.10 deg, rel. 45, hkl 1 0 3
36.05 deg, rel. 100, hkl 1 1 2
46.11 deg, rel. 32, hkl 2 0 0
46.73 deg, rel. 23, hkl 1 0 5
57.25 deg, rel. 16, hkl 2 0 4
57.93 deg, rel. 18, hkl 2 1 3
59.73 deg, rel. 16, hkl 1 1 6
78.76 deg, rel. 20, hkl 3 1 2